No. 1
This entry pairs a crystal structure of Cu4Ag5 with its simulated powder diffraction line list. Radiation: Cu Kα (λ = 1.5418 Å). Structure: the PBE geometry in OQMD.
Intensities are scaled so that the largest is 100.

Main lines, by angle (2θ = 10–90°):
2θ (°)	I (rel.)
39.6	100
45.4	33
47.4	15
66.1	5
66.3	5
67.7	19
79.9	11
80.1	11
82.9	11
85.5	5

Structure:
Lattice parameters (Å, degrees): 3.837 8.455 8.483 90.00 90.00 90.00
Space group Imm2 (No. 44)
Asymmetric unit:
Cu (0.000, 0.000, 0.000) (multiplicity 2)
Cu (0.000, 0.000, 0.335) (multiplicity 2)
Cu (0.000, 0.340, 0.344) (multiplicity 4)
Ag (0.000, 0.000, 0.684) (multiplicity 2)
Ag (0.000, 0.330, 0.998) (multiplicity 4)
Ag (0.000, 0.337, 0.671) (multiplicity 4)

---

No. 2
This entry pairs a crystal structure of Cu3Ag2 with its simulated powder diffraction line list. Radiation: Cu Kα (λ = 1.5418 Å). Structure: the PBE geometry in OQMD.
Intensities are scaled so that the largest is 100.

Main lines, by angle (2θ = 10–90°):
2θ (°)	I (rel.)
40.4	48
40.5	48
41.0	100
45.1	74
51.8	20
71.0	14
71.2	14
79.6	11
79.8	11
80.7	23

Structure:
Lattice parameters (Å, degrees): 17.865 2.816 5.748 90.00 99.10 90.00
Space group Cm (No. 8)
Asymmetric unit:
Cu (0.000, 0.000, 0.000) (multiplicity 2)
Cu (0.001, 0.000, 0.466) (multiplicity 2)
Cu (0.215, 0.000, 0.087) (multiplicity 2)
Cu (0.312, 0.500, 0.356) (multiplicity 2)
Cu (0.313, 0.500, 0.923) (multiplicity 2)
Cu (0.409, 0.000, 0.189) (multiplicity 2)
Ag (0.102, 0.500, 0.786) (multiplicity 2)
Ag (0.108, 0.500, 0.282) (multiplicity 2)
Ag (0.222, 0.000, 0.598) (multiplicity 2)
Ag (0.404, 0.000, 0.683) (multiplicity 2)

---

No. 3
This entry pairs a crystal structure of Cu5Ag3 with its simulated powder diffraction line list. Radiation: Cu Kα (λ = 1.5418 Å). Structure: the PBE geometry in OQMD.
Intensities are scaled so that the largest is 100.

Main lines, by angle (2θ = 10–90°):
2θ (°)	I (rel.)
34.3	14
40.6	89
41.0	100
46.4	59
49.5	28
68.3	10
70.2	32
81.8	13
82.6	21
86.9	10

Structure:
Lattice parameters (Å, degrees): 2.747 3.685 11.144 90.00 90.00 90.00
Space group Pmm2 (No. 25)
Asymmetric unit:
Cu (0.000, 0.000, 0.000) (multiplicity 1)
Cu (0.000, 0.000, 0.221) (multiplicity 1)
Cu (0.500, 0.500, 0.111) (multiplicity 1)
Cu (0.500, 0.500, 0.632) (multiplicity 1)
Cu (0.500, 0.500, 0.889) (multiplicity 1)
Ag (0.000, 0.000, 0.503) (multiplicity 1)
Ag (0.000, 0.000, 0.760) (multiplicity 1)
Ag (0.500, 0.500, 0.351) (multiplicity 1)

---

No. 4
This entry pairs a crystal structure of Cu4Ag5 with its simulated powder diffraction line list. Radiation: Cu Kα (λ = 1.5418 Å). Structure: the PBE geometry in OQMD.
Intensities are scaled so that the largest is 100.

Main lines, by angle (2θ = 10–90°):
2θ (°)	I (rel.)
39.6	100
39.8	97
45.5	65
47.4	28
66.0	10
66.6	10
67.8	36
79.9	23
80.3	22
82.9	10

Structure:
Lattice parameters (Å, degrees): 2.832 11.500 8.426 90.00 90.00 90.00
Space group Imm2 (No. 44)
Asymmetric unit:
Cu (0.000, 0.000, 0.000) (multiplicity 2)
Cu (0.000, 0.000, 0.338) (multiplicity 2)
Cu (0.000, 0.337, 0.346) (multiplicity 4)
Ag (0.000, 0.000, 0.686) (multiplicity 2)
Ag (0.000, 0.334, 0.002) (multiplicity 4)
Ag (0.000, 0.340, 0.671) (multiplicity 4)